This entry pairs a crystal structure of CoSnSO with its simulated powder diffraction line list. Radiation: Cu Ka. Structure: the GGA+U geometry in OQMD.
Neutral-atom scattering factors, no anomalous dispersion.

Structural model:
Lattice parameters (Å, degrees): 5.7348 3.7717 13.7465 90.00 90.00 90.00
Fractional coordinates of all 16 atoms:
Co 0.1310 0.2500 0.1976
Co 0.3690 0.7500 0.6976
Co 0.6310 0.2500 0.3024
Co 0.8690 0.7500 0.8024
Sn 0.2340 0.7500 0.4171
Sn 0.2660 0.2500 0.9171
Sn 0.7340 0.7500 0.0829
Sn 0.7660 0.2500 0.5829
S 0.2496 0.2500 0.6126
S 0.2504 0.7500 0.1126
S 0.7496 0.2500 0.8874
S 0.7504 0.7500 0.3874
O 0.2177 0.7500 0.8244
O 0.2823 0.2500 0.3244
O 0.7177 0.7500 0.6756
O 0.7823 0.2500 0.1756

Most intense lines, 5° ≤ 2θ ≤ 70°, by angle:
| 2θ (°) | I/Imax | hkl |
| --- | --- | --- |
| 20.17 | 23 | 1 0 2 |
| 29.07 | 48 | 1 1 1 |
| 30.32 | 45 | 1 0 4 |
| 30.70 | 100 | 0 1 3 |
| 31.20 | 49 | 2 0 0 |
| 44.34 | 48 | 2 1 3 |
| 48.26 | 21 | 0 2 0 |
| 55.10 | 24 | 1 1 7 |